Simulated PXRD pattern
Compound: Lu3In3IrPd
Radiation: copper Kα
Structure: a crystal structure in OQMD, relaxed with GGA-PBE
Lines closer than 0.1° are merged.

Most intense lines, 2θ = 15–90°, sorted by position:
2theta  intensity
34.5  100
36.0  74
37.2  72
41.0  17
49.8  18
51.4  17
56.5  26
64.3  27
67.1  19
70.5  20

Structural model:
Cell lengths 7.6273, 7.6273, 3.5556 Å; angles 90.00, 90.00, 120.00 degrees
Atoms (fractional coordinates):
Lu 0.0121 0.4265 0.0000
Lu 0.4143 0.9879 0.0000
Lu 0.5735 0.5857 0.0000
In 0.2352 0.2329 0.5000
In 0.7671 0.0023 0.5000
In 0.9977 0.7648 0.5000
Ir 0.3333 0.6667 0.5000
Pd 0.6667 0.3333 0.5000